This entry pairs a crystal structure of Li2SnF4 with its computed powder diffraction line list. Radiation: CuKα. Structure: a cell relaxed with GGA-PBE.
No peak broadening, texture or thermal motion is included.

Atomic structure:
```
Li2SnF4
1.0
3.958 0.000 0.000
0.000 3.959 0.000
-0.771 -0.842 6.156
Li Sn F
2 1 4
direct
0.000 0.000 0.000 Li
0.496 0.504 0.001 Li
0.894 0.391 0.507 Sn
0.434 0.430 0.674 F
0.515 0.021 0.096 F
0.931 0.933 0.673 F
0.998 0.503 0.007 F
```

Principal peaks in the range 2θ from 5° to 70°, sorted by position:
| 2theta | I_rel |
| --- | --- |
| 14.4 | 84 |
| 22.7 | 100 |
| 25.2 | 40 |
| 25.3 | 40 |
| 28.4 | 23 |
| 28.6 | 23 |
| 29.0 | 41 |
| 46.3 | 30 |
| 51.7 | 19 |
| 52.0 | 19 |